Entry 1:
For DyV2Co10, a PBE-relaxed structure gives the computed X-ray diffraction stick pattern in this record (Cu Kα (weighted mean of Kα1 and Kα2)).
Kinematic intensities with the Lorentz-polarization factor, no thermal factor.

The 10 most intense peaks (10 to 90 degrees two-theta), most intense first:
2.066 Å, intensity 100.0; 2.030 Å, intensity 69.4; 2.381 Å, intensity 42.6; 2.904 Å, intensity 38.8; 2.082 Å, intensity 31.4; 2.075 Å, intensity 26.3; 1.824 Å, intensity 23.5; 1.287 Å, intensity 19.8; 2.326 Å, intensity 15.1; 1.452 Å, intensity 12.1

Atomic structure:
```
DyV2Co10
1.0
-2.3261 4.1510 4.1630
2.3261 -4.1510 4.1630
2.3261 4.1510 -4.1630
Dy V Co
1 2 10
direct
0.0000 0.0000 0.0000
0.3615 0.3615 0.0000
0.6385 0.6385 0.0000
0.0000 0.0000 0.5000
0.0000 0.5000 0.0000
0.2184 0.5000 0.7184
0.2221 0.7221 0.5000
0.3593 0.0000 0.3593
0.5000 0.0000 0.0000
0.5000 0.5000 0.5000
0.6407 0.0000 0.6407
0.7779 0.2779 0.5000
0.7816 0.5000 0.2816
```


Entry 2:
For Cs6Br2Cl3, a PBE-relaxed structure gives the computed X-ray diffraction stick pattern in this record (Cu Kα (weighted mean of Kα1 and Kα2)).
Kinematic intensities with the Lorentz-polarization factor, no thermal factor.

The 10 most intense peaks (10 to 90 degrees two-theta), most intense first:
3.627 Å, intensity 100.0; 2.565 Å, intensity 77.0; 4.186 Å, intensity 31.7; 2.093 Å, intensity 21.1; 1.480 Å, intensity 20.2; 1.621 Å, intensity 18.5; 1.624 Å, intensity 17.6; 2.186 Å, intensity 16.9; 1.209 Å, intensity 13.7; 1.814 Å, intensity 13.1

Atomic structure:
```
Cs6Br2Cl3
1.0
4.4382 -7.6871 0.0000
4.4382 7.6871 0.0000
-2.9608 0.0000 8.3937
Cs Br Cl
6 2 3
direct
0.0769 0.4125 0.2380
0.2518 0.2518 0.7635
0.4125 0.0769 0.2380
0.5875 0.9231 0.7620
0.7482 0.7482 0.2365
0.9231 0.5875 0.7620
0.1667 0.8333 0.5000
0.8333 0.1667 0.5000
0.0000 0.0000 0.0000
0.3337 0.6663 0.0000
0.6663 0.3337 0.0000
```


Entry 3:
For MgAlZn, a PBE-relaxed structure gives the computed X-ray diffraction stick pattern in this record (Cu Kα (weighted mean of Kα1 and Kα2)).
Kinematic intensities with the Lorentz-polarization factor, no thermal factor.

The 10 most intense peaks (10 to 90 degrees two-theta), most intense first:
2.388 Å, intensity 100.0; 3.348 Å, intensity 71.5; 3.394 Å, intensity 66.2; 1.951 Å, intensity 59.7; 1.957 Å, intensity 50.2; 2.380 Å, intensity 49.4; 2.035 Å, intensity 44.1; 2.607 Å, intensity 43.9; 1.966 Å, intensity 40.4; 3.411 Å, intensity 33.0

Atomic structure:
```
MgAlZn
1.0
-4.0699 5.8697 3.4111
4.0699 -5.8697 3.4111
4.0699 5.8697 -3.4111
Mg Al Zn
6 6 6
direct
0.0002 0.2500 0.2502
0.9998 0.7500 0.7498
0.4134 0.3704 0.5430
0.4135 0.8701 0.0434
0.8268 0.3701 0.9566
0.8273 0.8704 0.4570
0.1668 0.2897 0.8776
0.1668 0.7892 0.3771
0.4121 0.2892 0.1224
0.4121 0.7897 0.6229
0.6591 0.1591 0.5000
0.6591 0.6591 0.0000
0.0795 0.4130 0.6670
0.0795 0.9125 0.1665
0.4128 0.1631 0.7497
0.4134 0.6631 0.2503
0.7461 0.4125 0.3330
0.7461 0.9130 0.8335
```


Entry 4:
For Tb3Pm3Pd4, a PBE-relaxed structure gives the computed X-ray diffraction stick pattern in this record (Cu Kα (weighted mean of Kα1 and Kα2)).
Kinematic intensities with the Lorentz-polarization factor, no thermal factor.

The 10 most intense peaks (10 to 90 degrees two-theta), most intense first:
2.627 Å, intensity 100.0; 2.650 Å, intensity 98.6; 2.795 Å, intensity 73.0; 2.536 Å, intensity 51.3; 2.506 Å, intensity 48.4; 1.962 Å, intensity 31.2; 1.552 Å, intensity 22.6; 1.545 Å, intensity 21.7; 1.393 Å, intensity 14.6; 1.377 Å, intensity 14.2

Atomic structure:
```
Tb3Pm3Pd4
1.0
3.9230 0.0000 0.0000
0.0000 5.5814 5.6942
0.0000 -5.5814 5.6942
Tb Pm Pd
3 3 4
direct
0.0000 0.0000 0.0000
0.0000 0.5025 0.8338
0.0000 0.8338 0.5025
0.0000 0.3307 0.3307
0.5000 0.1681 0.6670
0.5000 0.6670 0.1681
0.5000 0.0327 0.2919
0.5000 0.2919 0.0327
0.5000 0.5428 0.5428
0.5000 0.7969 0.7969
```


Entry 5:
For Ce2Br3N, a PBE-relaxed structure gives the computed X-ray diffraction stick pattern in this record (Cu Kα (weighted mean of Kα1 and Kα2)).
Kinematic intensities with the Lorentz-polarization factor, no thermal factor.

The 10 most intense peaks (10 to 90 degrees two-theta), most intense first:
2.676 Å, intensity 100.0; 2.867 Å, intensity 96.9; 2.895 Å, intensity 80.8; 7.392 Å, intensity 57.5; 3.431 Å, intensity 48.0; 2.224 Å, intensity 29.4; 3.148 Å, intensity 28.7; 2.336 Å, intensity 23.0; 2.381 Å, intensity 22.9; 3.944 Å, intensity 22.2

Atomic structure:
```
Ce2Br3N
1.0
-7.3917 7.3917 6.0121
7.3917 -7.3917 6.0121
7.3917 7.3917 -6.0121
Ce Br N
16 24 8
direct
0.1095 0.3682 0.0791
0.1247 0.2285 0.3451
0.1318 0.7110 0.7414
0.2110 0.9696 0.5791
0.2715 0.1166 0.8962
0.2796 0.6247 0.3962
0.3834 0.7796 0.1549
0.4696 0.3905 0.7586
0.5304 0.6095 0.2414
0.6166 0.2204 0.8451
0.7204 0.3753 0.6038
0.7285 0.8834 0.1038
0.7890 0.0304 0.4209
0.8682 0.2890 0.2586
0.8753 0.7715 0.6549
0.8905 0.6318 0.9209
0.0126 0.9342 0.1641
0.0313 0.6218 0.4406
0.0907 0.5313 0.9095
0.1218 0.1813 0.5905
0.2246 0.9011 0.0146
0.2701 0.8485 0.3359
0.2900 0.2754 0.1765
0.3187 0.4093 0.9406
0.3485 0.5126 0.5784
0.3865 0.2100 0.4854
0.4011 0.8865 0.6765
0.4342 0.7701 0.9216
0.5658 0.2299 0.0784
0.5989 0.1135 0.3235
0.6135 0.7900 0.5146
0.6515 0.4874 0.4216
0.6813 0.5907 0.0594
0.7100 0.7246 0.8235
0.7299 0.1515 0.6641
0.7754 0.0989 0.9854
0.8782 0.8187 0.4095
0.9093 0.4687 0.0905
0.9687 0.3782 0.5594
0.9874 0.0658 0.8359
0.0939 0.3790 0.2726
0.1210 0.8936 0.7149
0.3213 0.5939 0.2149
0.3936 0.1787 0.7726
0.6064 0.8213 0.2274
0.6787 0.4061 0.7851
0.8790 0.1064 0.2851
0.9061 0.6210 0.7274
```


Entry 6:
For K2Np2FeSe6, a PBE-relaxed structure gives the computed X-ray diffraction stick pattern in this record (Cu Kα (weighted mean of Kα1 and Kα2)).
Kinematic intensities with the Lorentz-polarization factor, no thermal factor.

The 10 most intense peaks (10 to 90 degrees two-theta), most intense first:
7.866 Å, intensity 100.0; 3.001 Å, intensity 62.7; 3.014 Å, intensity 34.4; 2.254 Å, intensity 30.8; 2.020 Å, intensity 21.8; 2.423 Å, intensity 20.0; 1.828 Å, intensity 17.1; 1.957 Å, intensity 14.6; 3.449 Å, intensity 12.8; 2.010 Å, intensity 10.7

Atomic structure:
```
K2Np2FeSe6
1.0
3.5048 -6.0288 0.0000
3.5048 6.0288 0.0000
-2.3482 0.0000 7.8657
K Np Fe Se
2 2 1 6
direct
0.1684 0.8316 0.0000
0.8316 0.1684 0.0000
0.3325 0.6675 0.5000
0.6675 0.3325 0.5000
0.0000 0.0000 0.5000
0.0676 0.3863 0.6952
0.2483 0.2483 0.3100
0.3863 0.0676 0.6952
0.6137 0.9324 0.3048
0.7517 0.7517 0.6900
0.9324 0.6137 0.3048
```


Entry 7:
For PuZnIrO6, a PBE-relaxed structure gives the computed X-ray diffraction stick pattern in this record (Cu Kα (weighted mean of Kα1 and Kα2)).
Kinematic intensities with the Lorentz-polarization factor, no thermal factor.

The 10 most intense peaks (10 to 90 degrees two-theta), most intense first:
3.251 Å, intensity 100.0; 2.572 Å, intensity 66.1; 4.756 Å, intensity 65.7; 1.746 Å, intensity 61.4; 2.262 Å, intensity 60.1; 1.587 Å, intensity 27.9; 2.017 Å, intensity 26.6; 4.454 Å, intensity 26.2; 1.485 Å, intensity 20.5; 1.131 Å, intensity 14.8

Atomic structure:
```
PuZnIrO6
1.0
5.1430 0.0000 0.0000
-2.5715 4.4540 0.0000
0.0000 0.0000 9.5121
Pu Zn Ir O
2 2 2 12
direct
0.3333 0.6667 0.2500
0.6667 0.3333 0.7500
0.0000 0.0000 0.0000
0.0000 0.0000 0.5000
0.3333 0.6667 0.7500
0.6667 0.3333 0.2500
0.0087 0.3419 0.6296
0.0087 0.6668 0.8704
0.3332 0.3419 0.8704
0.3332 0.9913 0.6296
0.3419 0.0087 0.1296
0.3419 0.3332 0.3704
0.6581 0.6668 0.6296
0.6581 0.9913 0.8704
0.6668 0.0087 0.3704
0.6668 0.6581 0.1296
0.9913 0.3332 0.1296
0.9913 0.6581 0.3704
```


Entry 8:
For Ho2Zn16Rh, a PBE-relaxed structure gives the computed X-ray diffraction stick pattern in this record (Cu Kα (weighted mean of Kα1 and Kα2)).
Kinematic intensities with the Lorentz-polarization factor, no thermal factor.

The 10 most intense peaks (10 to 90 degrees two-theta), most intense first:
2.223 Å, intensity 100.0; 2.236 Å, intensity 71.3; 2.185 Å, intensity 49.6; 2.582 Å, intensity 45.5; 2.502 Å, intensity 31.5; 2.172 Å, intensity 30.4; 3.126 Å, intensity 29.2; 1.991 Å, intensity 29.1; 1.269 Å, intensity 23.7; 1.563 Å, intensity 22.9

Atomic structure:
```
Ho2Zn16Rh
1.0
4.4729 2.5824 4.3709
-4.4729 2.5824 4.3709
0.0000 -5.1649 4.3709
Ho Zn Rh
2 16 1
direct
0.9998 0.9998 0.9998
0.3333 0.3333 0.3333
0.0171 0.0171 0.4976
0.0171 0.4976 0.0171
0.1652 0.6570 0.6570
0.3089 0.3089 0.8141
0.3089 0.8141 0.3089
0.3686 0.6585 0.9495
0.3686 0.9495 0.6585
0.4976 0.0171 0.0171
0.6570 0.1652 0.6570
0.6570 0.6570 0.1652
0.6585 0.3686 0.9495
0.6585 0.9495 0.3686
0.7635 0.7635 0.7635
0.8141 0.3089 0.3089
0.9495 0.3686 0.6585
0.9495 0.6585 0.3686
0.5613 0.5613 0.5613
```


What did the second record say?
For Cs6Br2Cl3, a PBE-relaxed structure gives the computed X-ray diffraction stick pattern in this record (Cu Kα (weighted mean of Kα1 and Kα2)).
Kinematic intensities with the Lorentz-polarization factor, no thermal factor.

The 10 most intense peaks (10 to 90 degrees two-theta), most intense first:
3.627 Å, intensity 100.0; 2.565 Å, intensity 77.0; 4.186 Å, intensity 31.7; 2.093 Å, intensity 21.1; 1.480 Å, intensity 20.2; 1.621 Å, intensity 18.5; 1.624 Å, intensity 17.6; 2.186 Å, intensity 16.9; 1.209 Å, intensity 13.7; 1.814 Å, intensity 13.1

Atomic structure:
```
Cs6Br2Cl3
1.0
4.4382 -7.6871 0.0000
4.4382 7.6871 0.0000
-2.9608 0.0000 8.3937
Cs Br Cl
6 2 3
direct
0.0769 0.4125 0.2380
0.2518 0.2518 0.7635
0.4125 0.0769 0.2380
0.5875 0.9231 0.7620
0.7482 0.7482 0.2365
0.9231 0.5875 0.7620
0.1667 0.8333 0.5000
0.8333 0.1667 0.5000
0.0000 0.0000 0.0000
0.3337 0.6663 0.0000
0.6663 0.3337 0.0000
```